(1)
Cu3NiHgSe4: theoretical powder X-ray diffraction pattern (a wavelength of 1.5418 Å), based on a structure optimized by DFT (PBE).
Lines closer than 0.1° are merged.

Largest 12 diffraction maxima, low angle first, 2θ from 10° to 90°:
d 4.122, I 427
d 3.365, I 944
d 2.380, I 219
d 2.061, I 1000
d 1.758, I 414
d 1.558, I 138
d 1.457, I 151
d 1.374, I 83
d 1.337, I 154
d 1.190, I 296
d 1.143, I 82
d 1.122, I 117

```
data_Cu3NiHgSe4
_space_group_name_H-M_alt 'P 1'
_space_group_IT_number 1
_space_group_name_Hall 'P 1'
_cell_length_a 5.829
_cell_length_b 5.829
_cell_length_c 5.829
_cell_angle_alpha 90.00
_cell_angle_beta 90.00
_cell_angle_gamma 90.00
loop_
_atom_site_label
_atom_site_fract_x
_atom_site_fract_y
_atom_site_fract_z
Cu1 0.000 0.000 0.500
Cu2 0.000 0.500 0.000
Cu3 0.500 0.000 0.000
Ni1 0.000 0.000 0.000
Hg1 0.500 0.500 0.500
Se1 0.231 0.231 0.231
Se2 0.231 0.769 0.769
Se3 0.769 0.231 0.769
Se4 0.769 0.769 0.231
```

(2)
Cu4P3O12: theoretical powder X-ray diffraction pattern (a wavelength of 1.5418 Å), based on a structure optimized by DFT (PBE).
Lines closer than 0.1° are merged.

Largest 12 diffraction maxima, low angle first, 2θ from 10° to 90°:
d 6.883, I 863
d 5.488, I 267
d 4.682, I 540
d 4.637, I 428
d 4.475, I 274
d 4.088, I 217
d 3.026, I 1000
d 2.986, I 471
d 2.846, I 535
d 2.746, I 360
d 2.477, I 206
d 2.422, I 289

```
data_Cu4P3O12
_space_group_name_H-M_alt 'P 1'
_space_group_IT_number 1
_space_group_name_Hall 'P 1'
_cell_length_a 7.633
_cell_length_b 7.895
_cell_length_c 9.568
_cell_angle_alpha 110.54
_cell_angle_beta 112.45
_cell_angle_gamma 90.20
loop_
_atom_site_label
_atom_site_fract_x
_atom_site_fract_y
_atom_site_fract_z
Cu1 0.028 0.304 0.487
Cu2 0.243 0.017 0.912
Cu3 0.255 0.403 0.910
Cu4 0.346 0.183 0.351
Cu5 0.654 0.817 0.649
Cu6 0.745 0.597 0.090
Cu7 0.757 0.983 0.088
Cu8 0.972 0.696 0.513
P1 0.002 0.740 0.919
P2 0.296 0.039 0.615
P3 0.378 0.638 0.747
P4 0.622 0.362 0.253
P5 0.704 0.961 0.385
P6 0.998 0.260 0.081
O1 0.061 0.553 0.899
O2 0.097 0.242 0.250
O3 0.137 0.236 0.989
O4 0.144 0.867 0.512
O5 0.170 0.559 0.608
O6 0.174 0.901 0.028
O7 0.254 0.180 0.528
O8 0.280 0.144 0.785
O9 0.391 0.843 0.850
O10 0.426 0.522 0.855
O11 0.472 0.372 0.325
O12 0.499 0.002 0.644
O13 0.501 0.998 0.356
O14 0.528 0.628 0.675
O15 0.574 0.478 0.145
O16 0.609 0.157 0.150
O17 0.720 0.856 0.215
O18 0.746 0.820 0.472
O19 0.826 0.099 0.972
O20 0.830 0.441 0.392
O21 0.856 0.133 0.488
O22 0.863 0.764 0.011
O23 0.903 0.758 0.750
O24 0.939 0.447 0.101
```

(3)
Pm2SnH12Ru3: theoretical powder X-ray diffraction pattern (a wavelength of 1.5418 Å), based on a structure optimized by DFT (PBE).
Lines closer than 0.1° are merged.

Largest 12 diffraction maxima, low angle first, 2θ from 10° to 90°:
d 3.165, I 556
d 3.059, I 340
d 2.695, I 675
d 2.661, I 1000
d 2.597, I 877
d 2.569, I 797
d 1.713, I 267
d 1.695, I 494
d 1.582, I 412
d 1.530, I 280
d 1.351, I 235
d 1.299, I 181

```
data_Pm2SnH12Ru3
_space_group_name_H-M_alt 'P 1'
_space_group_IT_number 1
_space_group_name_Hall 'P 1'
_cell_length_a 6.125
_cell_length_b 6.125
_cell_length_c 6.125
_cell_angle_alpha 62.22
_cell_angle_beta 62.22
_cell_angle_gamma 62.22
loop_
_atom_site_label
_atom_site_fract_x
_atom_site_fract_y
_atom_site_fract_z
Pm1 0.109 0.109 0.109
Pm2 0.891 0.891 0.891
Sn1 0.500 0.500 0.500
H1 0.045 0.646 0.646
H2 0.185 0.185 0.652
H3 0.185 0.652 0.185
H4 0.348 0.815 0.815
H5 0.354 0.354 0.955
H6 0.354 0.955 0.354
H7 0.646 0.045 0.646
H8 0.646 0.646 0.045
H9 0.652 0.185 0.185
H10 0.815 0.348 0.815
H11 0.815 0.815 0.348
H12 0.955 0.354 0.354
Ru1 0.000 0.500 0.500
Ru2 0.500 0.000 0.500
Ru3 0.500 0.500 0.000
```